No. 1
This entry pairs a crystal structure of Na3Zn4F12 with its computed powder XRD pattern. Radiation: Cu Kα X-rays. Structure: a cell relaxed with GGA-PBE.

Peak list (12 most intense, 5 to 70 degrees two-theta, in order of rising 2θ)
15.9°, I = 8
22.5°, I = 100
32.1°, I = 87
36.0°, I = 10
42.9°, I = 8
46.0°, I = 50
51.8°, I = 40
54.6°, I = 2
57.2°, I = 49
59.8°, I = 2
67.1°, I = 22
69.5°, I = 3

Atomic structure:
a = 6.833 Å, b = 6.833 Å, c = 6.833 Å
α = 109.47°, β = 109.47°, γ = 109.47°
Element x y z (fractional)
Na1 0.000 0.500 0.500
Na2 0.500 0.000 0.500
Na3 0.500 0.500 0.000
Zn1 0.000 0.000 0.500
Zn2 0.000 0.500 0.000
Zn3 0.500 0.000 0.000
Zn4 0.500 0.500 0.500
F1 0.084 0.787 0.297
F2 0.213 0.297 0.510
F3 0.213 0.703 0.916
F4 0.297 0.084 0.787
F5 0.297 0.510 0.213
F6 0.490 0.787 0.703
F7 0.510 0.213 0.297
F8 0.703 0.490 0.787
F9 0.703 0.916 0.213
F10 0.787 0.297 0.084
F11 0.787 0.703 0.490
F12 0.916 0.213 0.703

***

No. 2
This entry pairs a crystal structure of MnBeTcPCl with its computed powder XRD pattern. Radiation: Cu Kα X-rays. Structure: a cell relaxed with GGA-PBE.

Peak list (12 most intense, 5 to 70 degrees two-theta, in order of rising 2θ)
13.5°, I = 91
27.7°, I = 72
29.9°, I = 87
30.9°, I = 16
38.4°, I = 34
41.2°, I = 100
41.3°, I = 39
48.0°, I = 87
50.5°, I = 32
54.6°, I = 21
57.1°, I = 18
65.8°, I = 16

Atomic structure:
a = 3.224 Å, b = 3.361 Å, c = 6.551 Å
α = 90.00°, β = 90.00°, γ = 90.00°
Element x y z (fractional)
Mn1 0.000 0.000 0.000
Be1 0.500 0.000 0.714
Tc1 0.000 0.500 0.653
P1 0.500 0.500 0.929
Cl1 0.000 0.000 0.355

***

No. 3
This entry pairs a crystal structure of Ga7Rh3 with its computed powder XRD pattern. Radiation: Cu Kα X-rays. Structure: a cell relaxed with GGA-PBE.

Peak list (12 most intense, 5 to 70 degrees two-theta, in order of rising 2θ)
20.2°, I = 12
24.8°, I = 28
32.2°, I = 6
35.4°, I = 34
38.3°, I = 25
43.7°, I = 100
46.2°, I = 7
50.9°, I = 18
59.5°, I = 8
63.5°, I = 18
65.4°, I = 7
69.3°, I = 14

Atomic structure:
a = 7.613 Å, b = 7.613 Å, c = 7.613 Å
α = 109.47°, β = 109.47°, γ = 109.47°
Element x y z (fractional)
Ga1 0.000 0.000 0.319
Ga2 0.000 0.000 0.681
Ga3 0.000 0.319 0.000
Ga4 0.000 0.681 0.000
Ga5 0.250 0.500 0.750
Ga6 0.250 0.750 0.500
Ga7 0.319 0.000 0.000
Ga8 0.319 0.319 0.319
Ga9 0.500 0.250 0.750
Ga10 0.500 0.750 0.250
Ga11 0.681 0.000 0.000
Ga12 0.681 0.681 0.681
Ga13 0.750 0.250 0.500
Ga14 0.750 0.500 0.250
Rh1 0.000 0.342 0.342
Rh2 0.000 0.658 0.658
Rh3 0.342 0.000 0.342
Rh4 0.342 0.342 0.000
Rh5 0.658 0.000 0.658
Rh6 0.658 0.658 0.000